Simulated powder diffraction line list
Compound: Al2Si2O9
Radiation: Cu Ka
Structure: a crystal structure in the Materials Project, relaxed with PBE
Neutral-atom scattering factors, no anomalous dispersion.

Top 10 peaks for 2θ from 15° to 90°, in order of rising 2θ:
| Position (°2θ) | Rel. int. |
| --- | --- |
| 19.70 | 38 |
| 19.84 | 50 |
| 20.09 | 51 |
| 21.04 | 77 |
| 23.57 | 100 |
| 24.76 | 27 |
| 36.03 | 31 |
| 36.46 | 32 |
| 36.67 | 35 |
| 61.35 | 25 |

Structure:
Cell: 5.233 5.233 15.311 Å, 98.29 98.29 59.77°
Sites, in units of the cell vectors:
Al: 0.059 0.941 0.500
Al: 0.216 0.421 0.999
Al: 0.421 0.216 0.499
Al: 0.941 0.059 0.000
Si: 0.179 0.673 0.816
Si: 0.333 0.862 0.316
Si: 0.673 0.179 0.316
Si: 0.862 0.333 0.816
O: 0.043 0.458 0.776
O: 0.105 0.566 0.452
O: 0.154 0.215 0.569
O: 0.176 0.711 0.925
O: 0.215 0.154 0.069
O: 0.333 0.935 0.425
O: 0.378 0.596 0.560
O: 0.458 0.043 0.276
O: 0.512 0.531 0.787
O: 0.531 0.512 0.287
O: 0.566 0.105 0.952
O: 0.596 0.378 0.060
O: 0.711 0.176 0.425
O: 0.770 0.978 0.569
O: 0.935 0.333 0.925
O: 0.972 0.993 0.777
O: 0.978 0.770 0.069
O: 0.993 0.972 0.277


Simulated powder diffraction line list
Compound: Al8SiO14
Radiation: Cu Ka
Structure: a crystal structure in the Materials Project, relaxed with PBE
Neutral-atom scattering factors, no anomalous dispersion.

Top 10 peaks for 2θ from 15° to 90°, in order of rising 2θ:
| Position (°2θ) | Rel. int. |
| --- | --- |
| 15.21 | 45 |
| 16.11 | 100 |
| 25.60 | 84 |
| 32.54 | 62 |
| 34.34 | 35 |
| 38.17 | 29 |
| 39.92 | 62 |
| 41.83 | 25 |
| 59.23 | 38 |
| 62.63 | 27 |

Structure:
Cell: 2.966 7.796 23.308 Å, 90.00 90.00 90.00°
Sites, in units of the cell vectors:
Al: 0.000 0.017 0.000
Al: 0.000 0.085 0.871
Al: 0.000 0.090 0.205
Al: 0.000 0.426 0.304
Al: 0.000 0.467 0.179
Al: 0.000 0.533 0.679
Al: 0.000 0.574 0.804
Al: 0.000 0.910 0.705
Al: 0.000 0.915 0.371
Al: 0.000 0.983 0.500
Al: 0.500 0.245 0.415
Al: 0.500 0.246 0.758
Al: 0.500 0.248 0.092
Al: 0.500 0.752 0.592
Al: 0.500 0.754 0.258
Al: 0.500 0.755 0.915
Si: 0.000 0.391 0.975
Si: 0.000 0.609 0.475
O: 0.000 0.159 0.131
O: 0.000 0.171 0.804
O: 0.000 0.181 0.465
O: 0.000 0.202 0.942
O: 0.000 0.303 0.238
O: 0.000 0.324 0.372
O: 0.000 0.335 0.714
O: 0.000 0.352 0.043
O: 0.000 0.648 0.543
O: 0.000 0.665 0.214
O: 0.000 0.676 0.872
O: 0.000 0.697 0.738
O: 0.000 0.798 0.442
O: 0.000 0.819 0.965
O: 0.000 0.829 0.304
O: 0.000 0.841 0.631
O: 0.500 0.024 0.719
O: 0.500 0.029 0.382
O: 0.500 0.063 0.036
O: 0.500 0.442 0.139
O: 0.500 0.456 0.803
O: 0.500 0.489 0.958
O: 0.500 0.511 0.458
O: 0.500 0.544 0.303
O: 0.500 0.558 0.639
O: 0.500 0.937 0.536
O: 0.500 0.971 0.882
O: 0.500 0.976 0.219


Simulated powder diffraction line list
Compound: AlSi3O8
Radiation: Cu Ka
Structure: a crystal structure in the Materials Project, relaxed with PBE
Neutral-atom scattering factors, no anomalous dispersion.

Top 10 peaks for 2θ from 15° to 90°, in order of rising 2θ:
| Position (°2θ) | Rel. int. |
| --- | --- |
| 19.79 | 57 |
| 20.02 | 100 |
| 20.23 | 99 |
| 22.40 | 14 |
| 22.75 | 17 |
| 26.60 | 62 |
| 28.86 | 10 |
| 35.18 | 26 |
| 44.20 | 18 |
| 54.85 | 11 |

Structure:
Cell: 8.878 5.043 12.378 Å, 90.00 133.56 90.00°
Sites, in units of the cell vectors:
Al: 0.000 0.149 0.000
Al: 0.000 0.851 0.500
Si: 0.313 0.349 0.672
Si: 0.313 0.651 0.172
Si: 0.636 0.132 0.003
Si: 0.636 0.868 0.503
Si: 0.662 0.361 0.662
Si: 0.662 0.639 0.162
O: 0.159 0.123 0.549
O: 0.159 0.877 0.049
O: 0.170 0.398 0.129
O: 0.170 0.602 0.629
O: 0.431 0.245 0.839
O: 0.431 0.755 0.339
O: 0.487 0.427 0.667
O: 0.487 0.573 0.167
O: 0.568 0.138 0.533
O: 0.568 0.862 0.033
O: 0.709 0.360 0.125
O: 0.709 0.640 0.625
O: 0.820 0.068 0.010
O: 0.820 0.932 0.510
O: 0.872 0.251 0.820
O: 0.872 0.749 0.320


Simulated powder diffraction line list
Compound: Al2Si4O11
Radiation: Cu Ka
Structure: a crystal structure in the Materials Project, relaxed with PBE
Neutral-atom scattering factors, no anomalous dispersion.

Top 10 peaks for 2θ from 15° to 90°, in order of rising 2θ:
| Position (°2θ) | Rel. int. |
| --- | --- |
| 18.49 | 21 |
| 19.93 | 100 |
| 20.47 | 44 |
| 20.75 | 29 |
| 21.59 | 52 |
| 26.73 | 15 |
| 27.89 | 63 |
| 28.78 | 17 |
| 35.68 | 15 |
| 42.71 | 26 |

Structure:
Cell: 5.228 5.233 9.720 Å, 80.93 85.02 61.25°
Sites, in units of the cell vectors:
Al: 0.186 0.187 0.000
Al: 0.814 0.813 0.000
Si: 0.127 0.434 0.288
Si: 0.476 0.785 0.288
Si: 0.524 0.215 0.712
Si: 0.873 0.566 0.712
O: 0.000 0.000 0.000
O: 0.083 0.459 0.120
O: 0.197 0.369 0.646
O: 0.259 0.088 0.354
O: 0.347 0.554 0.321
O: 0.495 0.119 0.880
O: 0.505 0.881 0.120
O: 0.653 0.446 0.679
O: 0.741 0.912 0.646
O: 0.803 0.631 0.354
O: 0.917 0.541 0.880


Simulated powder diffraction line list
Compound: Al8Si3O18
Radiation: Cu Ka
Structure: a crystal structure in the Materials Project, relaxed with PBE
Neutral-atom scattering factors, no anomalous dispersion.

Top 10 peaks for 2θ from 15° to 90°, in order of rising 2θ:
| Position (°2θ) | Rel. int. |
| --- | --- |
| 15.44 | 44 |
| 19.85 | 54 |
| 24.51 | 41 |
| 26.73 | 100 |
| 27.82 | 63 |
| 33.33 | 40 |
| 37.92 | 74 |
| 40.98 | 39 |
| 54.41 | 41 |
| 63.57 | 49 |

Structure:
Cell: 8.259 2.927 13.673 Å, 90.00 101.07 90.00°
Sites, in units of the cell vectors:
Al: 0.000 0.000 0.000
Al: 0.012 0.500 0.212
Al: 0.097 0.500 0.590
Al: 0.333 0.000 0.273
Al: 0.419 0.000 0.047
Al: 0.606 0.500 0.436
Al: 0.632 0.500 0.912
Al: 0.913 0.000 0.395
Si: 0.271 0.000 0.837
Si: 0.439 0.000 0.582
Si: 0.782 0.000 0.659
O: 0.005 0.500 0.074
O: 0.048 0.500 0.456
O: 0.200 0.000 0.947
O: 0.214 0.500 0.282
O: 0.214 0.500 0.787
O: 0.256 0.000 0.613
O: 0.337 0.000 0.148
O: 0.431 0.500 0.518
O: 0.476 0.000 0.864
O: 0.501 0.000 0.368
O: 0.529 0.500 0.023
O: 0.576 0.000 0.683
O: 0.690 0.000 0.532
O: 0.773 0.500 0.371
O: 0.783 0.000 0.933
O: 0.821 0.500 0.721
O: 0.930 0.000 0.249
O: 0.978 0.000 0.626


Simulated powder diffraction line list
Compound: AlSi4O10
Radiation: Cu Ka
Structure: a crystal structure in the Materials Project, relaxed with PBE
Neutral-atom scattering factors, no anomalous dispersion.

Top 10 peaks for 2θ from 15° to 90°, in order of rising 2θ:
| Position (°2θ) | Rel. int. |
| --- | --- |
| 15.66 | 6 |
| 23.48 | 36 |
| 23.85 | 100 |
| 25.46 | 11 |
| 29.44 | 11 |
| 43.32 | 11 |
| 46.47 | 7 |
| 51.89 | 5 |
| 61.83 | 5 |
| 64.95 | 5 |

Structure:
Cell: 7.654 7.654 5.046 Å, 91.73 91.73 47.66°
Sites, in units of the cell vectors:
Al: 0.000 0.000 0.000
Si: 0.199 0.495 0.727
Si: 0.505 0.801 0.273
Si: 0.507 0.211 0.241
Si: 0.789 0.493 0.759
O: 0.003 0.474 0.662
O: 0.078 0.754 0.832
O: 0.246 0.922 0.168
O: 0.343 0.429 0.453
O: 0.383 0.294 0.947
O: 0.526 0.997 0.338
O: 0.571 0.657 0.547
O: 0.706 0.617 0.053
O: 0.767 0.121 0.220
O: 0.879 0.233 0.780


Simulated powder diffraction line list
Compound: Al3Si2O10
Radiation: Cu Ka
Structure: a crystal structure in the Materials Project, relaxed with PBE
Neutral-atom scattering factors, no anomalous dispersion.

Top 10 peaks for 2θ from 15° to 90°, in order of rising 2θ:
| Position (°2θ) | Rel. int. |
| --- | --- |
| 20.68 | 52 |
| 27.31 | 100 |
| 31.51 | 44 |
| 32.66 | 46 |
| 36.12 | 84 |
| 45.44 | 35 |
| 45.66 | 36 |
| 46.65 | 34 |
| 62.61 | 33 |
| 65.40 | 51 |

Structure:
Cell: 4.606 4.883 7.527 Å, 102.59 104.08 100.11°
Sites, in units of the cell vectors:
Al: 0.000 0.000 0.000
Al: 0.403 0.204 0.395
Al: 0.597 0.796 0.605
Si: 0.063 0.403 0.715
Si: 0.937 0.597 0.285
O: 0.039 0.287 0.237
O: 0.163 0.295 0.907
O: 0.231 0.856 0.440
O: 0.340 0.451 0.612
O: 0.385 0.981 0.151
O: 0.615 0.019 0.849
O: 0.660 0.549 0.388
O: 0.769 0.144 0.560
O: 0.837 0.705 0.093
O: 0.961 0.713 0.763